1.
Sr2Ca6Fe3Co5O24: calculated X-ray powder pattern (Cu Ka), based on the GGA+U geometry in the Materials Project.

Most intense lines, 10° ≤ 2θ ≤ 80°, low angle first:
2θ = 23.21°, 3.833 Å, intensity 8.2
2θ = 33.05°, 2.710 Å, intensity 100.0
2θ = 40.78°, 2.213 Å, intensity 6.2
2θ = 47.44°, 1.916 Å, intensity 45.7
2θ = 58.98°, 1.566 Å, intensity 17.9
2θ = 59.08°, 1.564 Å, intensity 17.8
2θ = 69.23°, 1.357 Å, intensity 4.1
2θ = 69.37°, 1.355 Å, intensity 20.5
2θ = 78.96°, 1.213 Å, intensity 7.5
2θ = 79.03°, 1.212 Å, intensity 7.5

Cell and atoms:
abc: 7.6635 7.6669 7.6669
angles: 90.16 90.00 90.00
Fractional coordinates of all 40 atoms:
Sr: 0.2488 0.0000 0.0000
Sr: 0.7512 0.0000 0.0000
Ca: 0.2497 0.0021 0.4964
Ca: 0.2497 0.4964 0.0021
Ca: 0.2503 0.4963 0.4963
Ca: 0.7503 0.0021 0.4964
Ca: 0.7503 0.4964 0.0021
Ca: 0.7497 0.4963 0.4963
Fe: 0.5000 0.2503 0.2503
Fe: 0.5000 0.2506 0.7481
Fe: 0.5000 0.7481 0.2506
Co: 0.0000 0.2504 0.2504
Co: 0.0000 0.2508 0.7471
Co: 0.0000 0.7471 0.2508
Co: 0.0000 0.7470 0.7470
Co: 0.5000 0.7480 0.7480
O: 0.0000 0.0028 0.2559
O: 0.0000 0.0109 0.7429
O: 0.0000 0.2509 0.4952
O: 0.0000 0.2559 0.0028
O: 0.0000 0.4879 0.7469
O: 0.0000 0.4952 0.2509
O: 0.0000 0.7429 0.0109
O: 0.0000 0.7469 0.4879
O: 0.2395 0.7456 0.7456
O: 0.2475 0.2529 0.7448
O: 0.2475 0.7448 0.2529
O: 0.2489 0.2534 0.2534
O: 0.5000 0.0008 0.2548
O: 0.5000 0.2512 0.4975
O: 0.5000 0.2548 0.0008
O: 0.5000 0.4975 0.2512
O: 0.5000 0.5046 0.7473
O: 0.5000 0.7423 0.9942
O: 0.5000 0.7473 0.5046
O: 0.5000 0.9942 0.7423
O: 0.7511 0.2534 0.2534
O: 0.7525 0.2529 0.7448
O: 0.7525 0.7448 0.2529
O: 0.7605 0.7456 0.7456

2.
CaCoGeO4: calculated X-ray powder pattern (Cu Ka), based on the GGA+U geometry in the Materials Project.

Most intense lines, 10° ≤ 2θ ≤ 80°, low angle first:
2θ = 15.55°, 5.697 Å, intensity 57.2
2θ = 20.77°, 4.276 Å, intensity 44.2
2θ = 29.41°, 3.037 Å, intensity 34.4
2θ = 32.57°, 2.749 Å, intensity 76.8
2θ = 33.81°, 2.651 Å, intensity 100.0
2θ = 34.40°, 2.607 Å, intensity 23.0
2θ = 48.39°, 1.881 Å, intensity 25.8
2θ = 52.00°, 1.759 Å, intensity 19.1
2θ = 56.16°, 1.638 Å, intensity 35.9
2θ = 56.93°, 1.617 Å, intensity 22.0

Cell and atoms:
abc: 11.3935 6.4710 5.0589
angles: 90.00 90.00 90.00
Fractional coordinates of all 28 atoms:
Ca: 0.2251 0.2500 0.0113
Ca: 0.2749 0.7500 0.5113
Ca: 0.7251 0.2500 0.4887
Ca: 0.7749 0.7500 0.9887
Co: 0.0000 0.0000 0.5000
Co: 0.0000 0.5000 0.5000
Co: 0.5000 0.0000 0.0000
Co: 0.5000 0.5000 0.0000
Ge: 0.0823 0.7500 0.0761
Ge: 0.4177 0.2500 0.5761
Ge: 0.5823 0.7500 0.4239
Ge: 0.9177 0.2500 0.9239
O: 0.0562 0.2500 0.7507
O: 0.0813 0.7500 0.7259
O: 0.1508 0.5329 0.2309
O: 0.1508 0.9671 0.2309
O: 0.3492 0.0329 0.7309
O: 0.3492 0.4671 0.7309
O: 0.4187 0.2500 0.2259
O: 0.4438 0.7500 0.2507
O: 0.5562 0.2500 0.7493
O: 0.5813 0.7500 0.7741
O: 0.6508 0.5329 0.2691
O: 0.6508 0.9671 0.2691
O: 0.8492 0.0329 0.7691
O: 0.8492 0.4671 0.7691
O: 0.9187 0.2500 0.2741
O: 0.9438 0.7500 0.2493

3.
CaCoGe2O6: calculated X-ray powder pattern (Cu Ka), based on the GGA+U geometry in the Materials Project.

Most intense lines, 10° ≤ 2θ ≤ 80°, low angle first:
2θ = 19.77°, 4.491 Å, intensity 26.5
2θ = 28.48°, 3.134 Å, intensity 35.5
2θ = 29.02°, 3.077 Å, intensity 73.2
2θ = 29.55°, 3.023 Å, intensity 35.0
2θ = 34.23°, 2.620 Å, intensity 100.0
2θ = 34.76°, 2.581 Å, intensity 17.6
2θ = 39.51°, 2.281 Å, intensity 37.5
2θ = 53.88°, 1.702 Å, intensity 27.7
2θ = 60.42°, 1.532 Å, intensity 30.5
2θ = 64.65°, 1.442 Å, intensity 19.2

Cell and atoms:
abc: 10.3641 9.1133 5.3420
angles: 90.00 104.93 90.00
Fractional coordinates of all 40 atoms:
Ca: 0.2242 0.0478 0.1931
Ca: 0.2242 0.4522 0.6931
Ca: 0.7758 0.5478 0.3069
Ca: 0.7758 0.9522 0.8069
Co: 0.2662 0.6637 0.2280
Co: 0.2662 0.8363 0.7280
Co: 0.7338 0.1637 0.2720
Co: 0.7338 0.3363 0.7720
Ge: 0.0128 0.1493 0.6083
Ge: 0.0128 0.3507 0.1083
Ge: 0.4554 0.1523 0.7812
Ge: 0.4554 0.3477 0.2812
Ge: 0.5446 0.6523 0.7188
Ge: 0.5446 0.8477 0.2188
Ge: 0.9872 0.6493 0.8917
Ge: 0.9872 0.8507 0.3917
O: 0.0832 0.5254 0.2299
O: 0.0832 0.9746 0.7299
O: 0.1052 0.2457 0.4144
O: 0.1052 0.2543 0.9144
O: 0.1492 0.6731 0.8430
O: 0.1492 0.8269 0.3430
O: 0.3608 0.0084 0.6207
O: 0.3608 0.4916 0.1207
O: 0.3691 0.6532 0.6289
O: 0.3691 0.8468 0.1289
O: 0.3973 0.1912 0.0682
O: 0.3973 0.3088 0.5682
O: 0.6027 0.6912 0.4318
O: 0.6027 0.8088 0.9318
O: 0.6309 0.1532 0.8711
O: 0.6309 0.3468 0.3711
O: 0.6392 0.5084 0.8793
O: 0.6392 0.9916 0.3793
O: 0.8508 0.1731 0.6570
O: 0.8508 0.3269 0.1570
O: 0.8948 0.7457 0.0856
O: 0.8948 0.7543 0.5856
O: 0.9168 0.0254 0.2701
O: 0.9168 0.4746 0.7701

4.
CaCoGe2O6: calculated X-ray powder pattern (Cu Ka), based on the GGA+U geometry in the Materials Project.

Most intense lines, 10° ≤ 2θ ≤ 80°, low angle first:
2θ = 25.85°, 3.447 Å, intensity 18.6
2θ = 28.71°, 3.109 Å, intensity 40.6
2θ = 28.90°, 3.090 Å, intensity 100.0
2θ = 29.47°, 3.031 Å, intensity 16.0
2θ = 33.75°, 2.656 Å, intensity 47.9
2θ = 34.10°, 2.629 Å, intensity 34.9
2θ = 34.15°, 2.626 Å, intensity 65.3
2θ = 54.14°, 1.694 Å, intensity 35.5
2θ = 59.06°, 1.564 Å, intensity 14.1
2θ = 62.18°, 1.493 Å, intensity 17.5

Cell and atoms:
abc: 5.5071 6.8559 6.8574
angles: 82.69 78.61 78.55
Fractional coordinates of all 20 atoms:
Ca: 0.0000 0.0000 0.0000
Ca: 0.4989 0.6062 0.3934
Co: 0.5001 0.2111 0.7892
Co: 0.9991 0.3929 0.6058
Ge: 0.0243 0.4888 0.0803
Ge: 0.4753 0.1177 0.3137
Ge: 0.5250 0.6863 0.8825
Ge: 0.9764 0.9199 0.5108
O: 0.0958 0.6770 0.5945
O: 0.1144 0.3191 0.8983
O: 0.2331 0.9746 0.3072
O: 0.2671 0.6321 0.0854
O: 0.3834 0.2876 0.4959
O: 0.4060 0.9300 0.7989
O: 0.5943 0.2012 0.0701
O: 0.6169 0.5038 0.7127
O: 0.7331 0.9145 0.3680
O: 0.7669 0.6923 0.0260
O: 0.8860 0.1024 0.6803
O: 0.9050 0.4055 0.3235

5.
Ca2CoIrO6: calculated X-ray powder pattern (Cu Ka), based on the GGA+U geometry in the Materials Project.

Most intense lines, 10° ≤ 2θ ≤ 80°, low angle first:
2θ = 19.70°, 4.507 Å, intensity 42.8
2θ = 20.17°, 4.402 Å, intensity 39.8
2θ = 22.97°, 3.872 Å, intensity 69.1
2θ = 23.23°, 3.829 Å, intensity 31.6
2θ = 32.11°, 2.788 Å, intensity 33.5
2θ = 32.88°, 2.724 Å, intensity 100.0
2θ = 32.95°, 2.718 Å, intensity 33.0
2θ = 33.30°, 2.691 Å, intensity 31.1
2θ = 46.93°, 1.936 Å, intensity 35.8
2θ = 59.31°, 1.558 Å, intensity 23.0

Cell and atoms:
abc: 5.3811 7.6573 11.1505
angles: 89.85 89.95 89.86
Fractional coordinates of all 40 atoms:
Ca: 0.0000 0.0000 0.0000
Ca: 0.9996 0.0033 0.5006
Ca: 0.4703 0.9994 0.7489
Ca: 0.4714 0.9996 0.2524
Ca: 0.4998 0.5036 0.6910
Ca: 0.5011 0.5040 0.1925
Ca: 0.9695 0.5010 0.4429
Ca: 0.9702 0.4998 0.9392
Co: 0.4849 0.7517 0.4712
Co: 0.4857 0.7509 0.9712
Co: 0.9851 0.2508 0.2212
Co: 0.9858 0.2518 0.7205
Ir: 0.4834 0.2518 0.4734
Ir: 0.4865 0.2509 0.9688
Ir: 0.9840 0.7518 0.7182
Ir: 0.9877 0.7508 0.2236
O: 0.0809 0.5001 0.7332
O: 0.0819 0.5042 0.2374
O: 0.1747 0.7996 0.8639
O: 0.1842 0.2022 0.8679
O: 0.1853 0.8012 0.3722
O: 0.1916 0.2042 0.3756
O: 0.2831 0.7995 0.1252
O: 0.2845 0.2011 0.6221
O: 0.2855 0.7988 0.6177
O: 0.2952 0.1965 0.1139
O: 0.3873 0.4950 0.9849
O: 0.3878 0.5034 0.4873
O: 0.5814 0.9999 0.4581
O: 0.5828 0.0063 0.9533
O: 0.6751 0.3024 0.3272
O: 0.6839 0.7034 0.3247
O: 0.6846 0.3026 0.8201
O: 0.6907 0.7035 0.8173
O: 0.7796 0.2994 0.0667
O: 0.7850 0.2982 0.5735
O: 0.7846 0.7026 0.5711
O: 0.7967 0.7005 0.0774
O: 0.8891 0.0029 0.7048
O: 0.8900 0.9968 0.2082